# 1
Theoretical PXRD pattern of UPb for Cu Kα, from the GGA-PBE geometry in the Materials Project.
Intensities are scaled so that the largest is 100.

Cell and atoms:
a b c (Å): 4.5774 4.5774 10.3571
angles (deg): 90.00 90.00 90.00
Positions (direct):
1 U 0.0000 0.2500 0.3750
2 U 0.0000 0.7500 0.6250
3 U 0.5000 0.2500 0.1250
4 U 0.5000 0.7500 0.8750
5 Pb 0.0000 0.2500 0.8750
6 Pb 0.0000 0.7500 0.1250
7 Pb 0.5000 0.2500 0.6250
8 Pb 0.5000 0.7500 0.3750

The 8 most intense peaks (2θ from 5° to 70°), sorted by position:
2θ 32.63, intensity 100; 2θ 34.64, intensity 21; 2θ 39.37, intensity 30; 2θ 53.43, intensity 26; 2θ 56.90, intensity 11; 2θ 60.82, intensity 18; 2θ 67.15, intensity 27; 2θ 68.35, intensity 13



# 2
Theoretical PXRD pattern of RbNaMg6O7 for Cu Kα, from the GGA-PBE geometry in the Materials Project.
Intensities are scaled so that the largest is 100.

Cell and atoms:
a b c (Å): 4.2510 4.2510 11.5597
angles (deg): 90.00 90.00 90.00
Positions (direct):
1 Rb 0.0000 0.0000 0.0000
2 Na 0.5000 0.5000 0.0997
3 Mg 0.0000 0.0000 0.5140
4 Mg 0.0000 0.5000 0.3032
5 Mg 0.0000 0.5000 0.7040
6 Mg 0.5000 0.0000 0.3032
7 Mg 0.5000 0.0000 0.7040
8 Mg 0.5000 0.5000 0.5298
9 O 0.0000 0.0000 0.3414
10 O 0.0000 0.0000 0.7147
11 O 0.0000 0.5000 0.1397
12 O 0.0000 0.5000 0.5228
13 O 0.5000 0.0000 0.1397
14 O 0.5000 0.0000 0.5228
15 O 0.5000 0.5000 0.7132

The 12 most intense peaks (2θ from 5° to 70°), sorted by position:
2θ 15.33, intensity 41; 2θ 20.90, intensity 30; 2θ 22.28, intensity 26; 2θ 23.08, intensity 19; 2θ 26.02, intensity 40; 2θ 30.73, intensity 28; 2θ 30.94, intensity 20; 2θ 31.33, intensity 39; 2θ 33.61, intensity 75; 2θ 37.64, intensity 21; 2θ 42.53, intensity 100; 2θ 61.72, intensity 29



# 3
Theoretical PXRD pattern of TiPt3 for Cu Kα, from the GGA-PBE geometry in the Materials Project.
Intensities are scaled so that the largest is 100.

Cell and atoms:
a b c (Å): 5.6123 5.6123 4.5216
angles (deg): 90.00 90.00 120.00
Positions (direct):
1 Ti 0.3333 0.6667 0.2500
2 Ti 0.6667 0.3333 0.7500
3 Pt 0.1674 0.3348 0.7500
4 Pt 0.1674 0.8326 0.7500
5 Pt 0.3348 0.1674 0.2500
6 Pt 0.6652 0.8326 0.7500
7 Pt 0.8326 0.1674 0.2500
8 Pt 0.8326 0.6652 0.2500

The 12 most intense peaks (2θ from 5° to 70°), sorted by position:
2θ 18.25, intensity 7; 2θ 26.93, intensity 18; 2θ 31.89, intensity 8; 2θ 36.99, intensity 24; 2θ 39.87, intensity 26; 2θ 42.22, intensity 100; 2θ 51.94, intensity 4; 2θ 53.87, intensity 5; 2θ 55.52, intensity 15; 2θ 56.83, intensity 2; 2θ 64.76, intensity 2; 2θ 66.66, intensity 17



# 4
Theoretical PXRD pattern of USNO9 for Cu Kα, from the GGA-PBE geometry in the Materials Project.
Intensities are scaled so that the largest is 100.

Cell and atoms:
a b c (Å): 6.8621 18.6420 8.8328
angles (deg): 90.00 116.96 90.00
Positions (direct):
1 U 0.0202 0.0690 0.1346
2 U 0.0202 0.4310 0.6346
3 U 0.9798 0.5690 0.3654
4 U 0.9798 0.9310 0.8654
5 S 0.4902 0.1301 0.5302
6 S 0.4902 0.3699 0.0302
7 S 0.5098 0.6301 0.9698
8 S 0.5098 0.8699 0.4698
9 N 0.2794 0.6314 0.9852
10 N 0.2794 0.8686 0.4852
11 N 0.7206 0.1314 0.5148
12 N 0.7206 0.3686 0.0148
13 O 0.0164 0.0153 0.3034
14 O 0.0164 0.4847 0.8034
15 O 0.0192 0.1383 0.9908
16 O 0.0192 0.3617 0.4908
17 O 0.2029 0.5015 0.5603
18 O 0.2029 0.9985 0.0603
19 O 0.3194 0.1293 0.3467
20 O 0.3194 0.3707 0.8467
21 O 0.3279 0.6434 0.4278
22 O 0.3279 0.8566 0.9278
23 O 0.3470 0.1744 0.8745
24 O 0.3470 0.3256 0.3745
25 O 0.4743 0.1244 0.9527
26 O 0.4743 0.3756 0.4527
27 O 0.4817 0.1965 0.6133
28 O 0.4817 0.3035 0.1133
29 O 0.4888 0.0643 0.6184
30 O 0.4888 0.4357 0.1184
31 O 0.5112 0.5643 0.8816
32 O 0.5112 0.9357 0.3816
33 O 0.5183 0.6965 0.8867
34 O 0.5183 0.8035 0.3867
35 O 0.5257 0.6244 0.5473
36 O 0.5257 0.8756 0.0473
37 O 0.6530 0.6744 0.6255
38 O 0.6530 0.8256 0.1255
39 O 0.6721 0.1434 0.0722
40 O 0.6721 0.3566 0.5722
41 O 0.6806 0.6293 0.1533
42 O 0.6806 0.8707 0.6533
43 O 0.7971 0.0015 0.9397
44 O 0.7971 0.4985 0.4397
45 O 0.9808 0.6383 0.5092
46 O 0.9808 0.8617 0.0092
47 O 0.9836 0.5153 0.1966
48 O 0.9836 0.9847 0.6966

The 12 most intense peaks (2θ from 5° to 70°), sorted by position:
2θ 9.49, intensity 63; 2θ 12.20, intensity 48; 2θ 14.52, intensity 100; 2θ 14.73, intensity 25; 2θ 16.71, intensity 29; 2θ 17.34, intensity 43; 2θ 22.17, intensity 25; 2θ 22.59, intensity 17; 2θ 23.55, intensity 16; 2θ 24.07, intensity 19; 2θ 25.11, intensity 27; 2θ 26.81, intensity 23